No. 1
Starting from DFT lattice parameters and positions (GGA-PBE), the PXRD pattern of Zr3Te5Au was simulated for Cu Kα X-rays.
Peak positions follow from Bragg's law for the DFT cell and can differ from measured ones.

Largest 10 diffraction maxima, in order of rising 2θ, 10° ≤ 2θ ≤ 80°:
2θ 27.16, rel. 84
2θ 28.45, rel. 92
2θ 30.49, rel. 18
2θ 39.74, rel. 100
2θ 43.96, rel. 18
2θ 49.59, rel. 33
2θ 50.38, rel. 19
2θ 53.20, rel. 24
2θ 58.87, rel. 27
2θ 76.30, rel. 21

Cell and atoms:
abc: 6.2749 6.2749 8.2389
angles: 90.00 90.00 120.00
Space group P6/mmm (No. 191)
One atom of each set of equivalent atoms:
Zr: 0.0000 0.5000 0.0000
Te: 0.0000 0.0000 0.0000
Te: 0.3333 0.6667 0.2755
Au: 0.0000 0.0000 0.5000

---

No. 2
Starting from DFT lattice parameters and positions (GGA-PBE), the PXRD pattern of ScZn2Cu5 was simulated for Cu Kα X-rays.
Peak positions follow from Bragg's law for the DFT cell and can differ from measured ones.

Largest 10 diffraction maxima, in order of rising 2θ, 10° ≤ 2θ ≤ 80°:
2θ 40.85, rel. 6
2θ 42.04, rel. 21
2θ 42.32, rel. 100
2θ 42.73, rel. 29
2θ 47.44, rel. 8
2θ 61.29, rel. 7
2θ 61.50, rel. 13
2θ 77.01, rel. 8
2θ 77.59, rel. 6
2θ 77.97, rel. 14

Cell and atoms:
abc: 4.232 6.049 8.597
angles: 90.00 90.00 90.00
Space group Amm2 (No. 38)
One atom of each set of equivalent atoms:
Sc: 0.000 0.000 0.000
Zn: 0.000 0.000 0.449
Zn: 0.500 0.000 0.769
Cu: 0.000 0.218 0.725
Cu: 0.500 0.000 0.244
Cu: 0.500 0.219 0.512

---

No. 3
Starting from DFT lattice parameters and positions (GGA-PBE), the PXRD pattern of Sm4Sc4O11 was simulated for Cu Kα X-rays.
Peak positions follow from Bragg's law for the DFT cell and can differ from measured ones.

Largest 10 diffraction maxima, in order of rising 2θ, 10° ≤ 2θ ≤ 80°:
2θ 22.30, rel. 31
2θ 22.39, rel. 16
2θ 24.99, rel. 16
2θ 31.04, rel. 18
2θ 31.81, rel. 100
2θ 32.43, rel. 22
2θ 39.77, rel. 13
2θ 45.51, rel. 19
2θ 51.68, rel. 16
2θ 57.46, rel. 21

Cell and atoms:
abc: 5.521 7.941 5.763
angles: 90.00 90.09 90.00
Space group Pm (No. 6)
One atom of each set of equivalent atoms:
Sm: 0.000 0.000 0.000
Sm: 0.028 0.500 0.109
Sm: 0.487 0.500 0.619
Sm: 0.532 0.000 0.501
Sc: 0.016 0.250 0.558
Sc: 0.515 0.251 0.060
O: 0.134 0.000 0.607
O: 0.211 0.308 0.862
O: 0.319 0.310 0.362
O: 0.400 0.000 0.106
O: 0.629 0.500 0.014
O: 0.711 0.191 0.755
O: 0.822 0.192 0.257

---

Please write out number 2 again, unchanged.
Starting from DFT lattice parameters and positions (GGA-PBE), the PXRD pattern of ScZn2Cu5 was simulated for Cu Kα X-rays.
Peak positions follow from Bragg's law for the DFT cell and can differ from measured ones.

Largest 10 diffraction maxima, in order of rising 2θ, 10° ≤ 2θ ≤ 80°:
2θ 40.85, rel. 6
2θ 42.04, rel. 21
2θ 42.32, rel. 100
2θ 42.73, rel. 29
2θ 47.44, rel. 8
2θ 61.29, rel. 7
2θ 61.50, rel. 13
2θ 77.01, rel. 8
2θ 77.59, rel. 6
2θ 77.97, rel. 14

Cell and atoms:
abc: 4.232 6.049 8.597
angles: 90.00 90.00 90.00
Space group Amm2 (No. 38)
One atom of each set of equivalent atoms:
Sc: 0.000 0.000 0.000
Zn: 0.000 0.000 0.449
Zn: 0.500 0.000 0.769
Cu: 0.000 0.218 0.725
Cu: 0.500 0.000 0.244
Cu: 0.500 0.219 0.512